Starting from a structure optimized by DFT (PBE), the X-ray powder pattern of Ho2IrPbO8 was calculated for Cu Kα, 1.54184 Å.

Crystal structure
a = 4.9862 Å, b = 4.9862 Å, c = 6.8143 Å
α = 90.00°, β = 90.00°, γ = 91.27°
Sites, in units of the cell vectors:
Ho (0.0000, 0.0000, 0.2489)
Ho (0.0000, 0.0000, 0.7511)
Ir (0.5000, 0.5000, 0.0000)
Pb (0.5000, 0.5000, 0.5000)
O (0.1923, 0.1923, 0.5000)
O (0.2276, 0.2276, 0.0000)
O (0.3169, 0.6831, 0.2162)
O (0.3169, 0.6831, 0.7838)
O (0.6831, 0.3169, 0.2162)
O (0.6831, 0.3169, 0.7838)
O (0.7724, 0.7724, 0.0000)
O (0.8077, 0.8077, 0.5000)

Peak list (12 most intense, 2θ from 15° to 90°, in order of rising 2θ)
d [Å]	intensity
3.565	55.5
3.486	50.6
2.813	100.0
2.492	30.1
1.877	39.1
1.854	35.7
1.566	9.7
1.537	10.1
1.494	20.9
1.406	11.6
1.293	9.2
1.161	9.0



Starting from a structure optimized by DFT (PBE), the X-ray powder pattern of Ho8Ir2Os was calculated for Cu Kα, 1.54184 Å.

Crystal structure
a = 7.5116 Å, b = 7.5116 Å, c = 5.8419 Å
α = 100.32°, β = 100.32°, γ = 112.60°
Sites, in units of the cell vectors:
Ho (0.0000, 0.0000, 0.0000)
Ho (0.0230, 0.2790, 0.5978)
Ho (0.1442, 0.5735, 0.1842)
Ho (0.2790, 0.0230, 0.5978)
Ho (0.4294, 0.6852, 0.7881)
Ho (0.5735, 0.1442, 0.1842)
Ho (0.6852, 0.4294, 0.7881)
Ho (0.7141, 0.7141, 0.3695)
Ir (0.0392, 0.6644, 0.6846)
Ir (0.6644, 0.0392, 0.6846)
Os (0.3590, 0.3590, 0.0377)

Peak list (12 most intense, 2θ from 15° to 90°, in order of rising 2θ)
d [Å]	intensity
5.529	36.8
2.872	81.2
2.843	41.7
2.810	45.0
2.719	100.0
2.679	85.1
2.528	51.7
2.488	45.3
2.449	46.9
2.270	78.1
2.224	48.7
1.659	31.7



Starting from a structure optimized by DFT (PBE), the X-ray powder pattern of HoP3Ir6 was calculated for Cu Kα, 1.54184 Å.

Crystal structure
a = 5.4901 Å, b = 5.5355 Å, c = 6.5168 Å
α = 66.89°, β = 70.62°, γ = 61.37°
Sites, in units of the cell vectors:
Ho (0.0000, 0.0000, 0.0000)
P (0.1809, 0.3640, 0.1355)
P (0.5804, 0.7093, 0.1385)
P (0.7934, 0.9248, 0.4904)
Ir (0.0605, 0.5403, 0.7814)
Ir (0.2383, 0.9346, 0.4164)
Ir (0.4074, 0.3627, 0.3918)
Ir (0.5219, 0.5375, 0.8849)
Ir (0.5605, 0.0647, 0.8118)
Ir (0.8122, 0.5291, 0.4377)

Peak list (12 most intense, 2θ from 15° to 90°, in order of rising 2θ)
d [Å]	intensity
3.122	33.4
2.949	100.0
2.935	36.1
2.601	64.8
2.396	35.2
2.366	99.9
2.349	81.4
2.330	70.8
2.147	52.7
2.076	44.6
1.986	64.9
1.971	34.6